Diffraction record for Np2Ga6Tc. The X-ray diffraction stick pattern is calculated, not measured: it uses a structure optimized by DFT (PBE) and a wavelength of 1.5418 Å.
Neutral-atom scattering factors, no anomalous dispersion.

Most intense lines, 2θ = 5–70°, sorted by position:
- 2θ 23.6, I 36
- 2θ 30.3, I 34
- 2θ 34.4, I 35
- 2θ 35.1, I 16
- 2θ 36.7, I 52
- 2θ 38.7, I 100
- 2θ 48.3, I 16
- 2θ 49.9, I 16
- 2θ 58.0, I 21
- 2θ 63.0, I 23

Cell and atoms:
```
data_Np2Ga6Tc
_chemical_formula_sum 'Np2 Ga6 Tc1'
_symmetry_space_group_name_H-M 'P -3 m 1'
_symmetry_Int_Tables_number 164
_symmetry_space_group_name_Hall '-P 3 2"'
_cell_length_a 5.9025
_cell_length_b 5.9025
_cell_length_c 5.5888
_cell_angle_alpha 90.00
_cell_angle_beta 90.00
_cell_angle_gamma 120.00
loop_
_atom_site_label
_atom_site_type_symbol
_atom_site_fract_x
_atom_site_fract_y
_atom_site_fract_z
Np1 Np 0.3333 0.6667 0.1795
Ga1 Ga 0.1770 0.3539 0.6822
Tc1 Tc 0.0000 0.0000 0.0000
```